Entry 1:
Computed X-ray powder pattern
Compound: Ac2NiGe
Radiation: Cu Kα X-rays
Structure: a cell relaxed with GGA-PBE
No peak broadening, texture or thermal motion is included.

Crystal structure
a b c (Å): 5.3851 5.3851 5.3851
angles (deg): 60.00 60.00 60.00
Fractional positions:
Ac: 0.2500 0.2500 0.2500
Ac: 0.7500 0.7500 0.7500
Ni: 0.0000 0.0000 0.0000
Ge: 0.5000 0.5000 0.5000

Top 6 peaks for 2θ from 5° to 70°, in order of rising 2θ:
2θ/deg, intensity
23.36, 31
33.27, 100
47.77, 18
53.83, 14
59.46, 38
69.87, 12

---

Entry 2:
Computed X-ray powder pattern
Compound: AcHg3
Radiation: Cu Kα X-rays
Structure: a cell relaxed with GGA-PBE
No peak broadening, texture or thermal motion is included.

Crystal structure
a b c (Å): 7.1422 7.1422 5.2091
angles (deg): 90.00 90.00 120.00
Fractional positions:
Ac: 0.3333 0.6667 0.2500
Ac: 0.6667 0.3333 0.7500
Hg: 0.1577 0.3153 0.7500
Hg: 0.1577 0.8423 0.7500
Hg: 0.3153 0.1577 0.2500
Hg: 0.6847 0.8423 0.7500
Hg: 0.8423 0.1577 0.2500
Hg: 0.8423 0.6847 0.2500

Top 6 peaks for 2θ from 5° to 70°, in order of rising 2θ:
2θ/deg, intensity
28.87, 25
33.70, 100
34.43, 21
51.16, 20
61.22, 19
63.13, 22

---

Entry 3:
Computed X-ray powder pattern
Compound: AcMgHg2
Radiation: Cu Kα X-rays
Structure: a cell relaxed with GGA-PBE
No peak broadening, texture or thermal motion is included.

Crystal structure
a b c (Å): 5.4078 5.4078 5.4078
angles (deg): 60.00 60.00 60.00
Fractional positions:
Ac: 0.0000 0.0000 0.0000
Mg: 0.5000 0.5000 0.5000
Hg: 0.2500 0.2500 0.2500
Hg: 0.7500 0.7500 0.7500

Top 6 peaks for 2θ from 5° to 70°, in order of rising 2θ:
2θ/deg, intensity
20.11, 20
33.13, 100
39.06, 12
47.56, 19
59.19, 39
69.53, 12